Computed powder diffractogram of CaNiAsO5 for CuKα, from a GGA+U-relaxed structure.
Kinematic intensities with the Lorentz-polarization factor, no thermal factor.

Largest 10 diffraction maxima, low angle first, 10° ≤ 2θ ≤ 90°:
- (0 1 1), 2θ 15.37, rel. 70.7
- (1 0 1), 2θ 18.15, rel. 49.5
- (1 2 0), 2θ 28.04, rel. 100.0
- (0 2 2), 2θ 31.03, rel. 55.3
- (0 1 3), 2θ 32.48, rel. 81.7
- (2 1 1), 2θ 34.35, rel. 83.7
- (1 2 2), 2θ 34.69, rel. 57.7
- (1 1 3), 2θ 36.01, rel. 48.1
- (2 0 2), 2θ 36.77, rel. 39.9
- (2 3 3), 2θ 57.35, rel. 47.3

Structural model:
```
data_CaNiAsO5
_space_group_name_H-M_alt 'P 21 21 21'
_space_group_IT_number 19
_cell_length_a 5.8559
_cell_length_b 7.5799
_cell_length_c 8.8789
_cell_angle_alpha 90.00
_cell_angle_beta 90.00
_cell_angle_gamma 90.00
loop_
_space_group_symop_operation_xyz
'x,y,z'
'-x+1/2,-y,z+1/2'
'x+1/2,-y+1/2,-z'
'-x,y+1/2,-z+1/2'
loop_
_atom_site_label
_atom_site_fract_x
_atom_site_fract_y
_atom_site_fract_z
Ca1 0.0279 0.1615 0.1645
Ni1 0.2457 0.2547 0.5034
As1 0.0168 0.5951 0.7014
O1 0.0013 0.1292 0.4224
O2 0.0098 0.9100 0.9145
O3 0.0816 0.7623 0.5797
O4 0.2440 0.1205 0.7091
O5 0.2450 0.4170 0.3164
```